1.
This entry pairs a crystal structure of Hg2H6CN3Cl5 with its computed powder X-ray diffraction pattern. Radiation: Cu Kα X-rays. Structure: the PBE geometry in the Materials Project.

Structure:
abc: 8.078 8.078 18.540
angles: 90.00 90.00 150.74
Element x y z (fractional)
Hg 0.013 0.281 0.462
Hg 0.281 0.013 0.538
Hg 0.719 0.987 0.038
Hg 0.987 0.719 0.962
H 0.161 0.365 0.847
H 0.198 0.665 0.794
H 0.335 0.802 0.706
H 0.365 0.161 0.153
H 0.414 0.429 0.813
H 0.429 0.414 0.187
H 0.571 0.586 0.687
H 0.586 0.571 0.313
H 0.635 0.839 0.653
H 0.665 0.198 0.206
H 0.802 0.335 0.294
H 0.839 0.635 0.347
C 0.386 0.614 0.750
C 0.614 0.386 0.250
N 0.299 0.440 0.806
N 0.301 0.699 0.750
N 0.440 0.299 0.194
N 0.560 0.701 0.694
N 0.699 0.301 0.250
N 0.701 0.560 0.306
Cl 0.055 0.278 0.337
Cl 0.082 0.683 0.078
Cl 0.278 0.055 0.663
Cl 0.317 0.918 0.422
Cl 0.356 0.356 0.000
Cl 0.644 0.644 0.500
Cl 0.683 0.082 0.922
Cl 0.722 0.945 0.163
Cl 0.918 0.317 0.578
Cl 0.945 0.722 0.837

Most intense lines, 2θ = 10–90°, by angle:
2theta, Rel. int.
18.30, 72
22.76, 58
23.03, 65
24.51, 40
24.72, 37
28.19, 100
29.43, 60
35.80, 57


2.
This entry pairs a crystal structure of Er3Sc2S7 with its computed powder X-ray diffraction pattern. Radiation: Cu Kα X-rays. Structure: the PBE geometry in the Materials Project.

Structure:
abc: 6.442 6.442 11.310
angles: 104.18 104.18 33.44
Element x y z (fractional)
Er 0.000 0.000 0.000
Er 0.304 0.304 0.198
Er 0.696 0.696 0.802
Sc 0.112 0.112 0.429
Sc 0.888 0.888 0.571
S 0.033 0.033 0.778
S 0.262 0.262 0.641
S 0.338 0.338 0.948
S 0.500 0.500 0.500
S 0.662 0.662 0.052
S 0.738 0.738 0.359
S 0.967 0.967 0.222

Most intense lines, 2θ = 10–90°, by angle:
2theta, Rel. int.
24.75, 96
25.17, 100
25.86, 63
28.98, 93
33.04, 87
34.26, 42
35.47, 74
43.33, 50


3.
This entry pairs a crystal structure of MnSbRh2 with its computed powder X-ray diffraction pattern. Radiation: Cu Kα X-rays. Structure: the PBE geometry in the Materials Project.

Structure:
abc: 4.154 4.154 3.655
angles: 90.00 90.00 90.00
Element x y z (fractional)
Mn 0.000 0.000 0.000
Sb 0.500 0.500 0.000
Rh 0.000 0.500 0.500
Rh 0.500 0.000 0.500

Most intense lines, 2θ = 10–90°, by angle:
2theta, Rel. int.
39.35, 100
43.58, 37
49.91, 12
63.33, 12
68.38, 19
77.16, 26
84.67, 10
86.48, 10